Diffraction record for LiCoF3. The powder X-ray diffraction pattern is theoretical, not measured: it uses a GGA+U-relaxed structure and Cu Kα, 1.54184 Å.
Kinematic intensities with the Lorentz-polarization factor, no thermal factor.

The 8 most intense peaks (10 to 90 degrees two-theta), by angle:
two_theta, d (Å), Rel. int., hkl
23.22, 3.831, 100, 1 0 1
31.09, 2.877, 38, 0 1 2
34.96, 2.567, 15, 1 1 0
42.60, 2.122, 14, 2 -1 2
47.47, 1.915, 18, 2 0 2
50.82, 1.797, 46, 2 -1 3
56.07, 1.640, 14, 2 1 1
62.69, 1.482, 18, 3 0 0

Cell and atoms:
abc: 5.1337 5.1337 7.5474
angles: 90.00 90.00 120.00
Space group P3 (No. 143)
One atom of each set of equivalent atoms:
Li: 0.0000 0.0000 0.0000
Li: 0.0000 0.0000 0.3136
Li: 0.3333 0.6667 0.9186
Co: 0.0000 0.0000 0.6506
Co: 0.3333 0.6667 0.3307
Co: 0.6667 0.3333 0.0001
F: 0.0165 0.3419 0.1425
F: 0.0312 0.7131 0.4737
F: 0.3169 0.3002 0.8464

Diffraction record for LiCoF3. The powder X-ray diffraction pattern is theoretical, not measured: it uses a GGA+U-relaxed structure and Cu Kα, 1.54184 Å.
Kinematic intensities with the Lorentz-polarization factor, no thermal factor.

The 8 most intense peaks (10 to 90 degrees two-theta), by angle:
two_theta, d (Å), Rel. int., hkl
23.16, 3.841, 50, 0 1 1
23.31, 3.816, 100, 1 1 -1
30.99, 2.886, 19, 1 1 2
31.12, 2.874, 38, 1 0 -2
42.51, 2.127, 25, 2 0 -1
50.64, 1.803, 23, 1 2 3
50.94, 1.793, 25, 1 -1 3
62.98, 1.476, 17, 3 0 0

Cell and atoms:
abc: 5.1079 5.1198 7.5688
angles: 89.55 89.79 60.12
Space group P1 (No. 1)
One atom of each set of equivalent atoms:
Li: 0.0000 0.0000 0.0000
Li: 0.0059 0.0056 0.6876
Li: 0.3393 0.3383 0.6052
Co: 0.3322 0.3383 0.0197
Co: 0.6694 0.6734 0.6869
Co: 0.9988 0.0078 0.3375
F: 0.0198 0.3268 0.8326
F: 0.0378 0.6869 0.1602
F: 0.2803 0.0334 0.1578
F: 0.3213 0.9908 0.5322
F: 0.3244 0.6645 0.8318
F: 0.6627 0.0225 0.8309
F: 0.6838 0.2789 0.1582
F: 0.7054 0.3228 0.5327
F: 0.9910 0.7062 0.5324

Diffraction record for LiCoNiF6. The powder X-ray diffraction pattern is theoretical, not measured: it uses a GGA+U-relaxed structure and Cu Kα, 1.54184 Å.
Kinematic intensities with the Lorentz-polarization factor, no thermal factor.

The 8 most intense peaks (10 to 90 degrees two-theta), by angle:
two_theta, d (Å), Rel. int., hkl
19.61, 4.527, 22, 0 0 2
21.29, 4.173, 59, 1 0 1
26.81, 3.325, 100, 1 1 0
35.34, 2.540, 40, 1 0 3
40.36, 2.235, 32, 1 1 3
53.07, 1.726, 67, 2 1 3
55.25, 1.663, 23, 2 2 0
67.31, 1.391, 28, 3 0 3

Cell and atoms:
abc: 4.7028 4.7028 9.0541
angles: 90.00 90.00 90.00
Space group P4_2nm (No. 102)
One atom of each set of equivalent atoms:
Li: 0.0000 0.0000 0.0000
Co: 0.0000 0.0000 0.3329
Ni: 0.0000 0.0000 0.6706
F: 0.1926 0.1926 0.4932
F: 0.1949 0.1949 0.1755
F: 0.2047 0.2047 0.8333